Mg7Ti: simulated powder XRD pattern (a wavelength of 1.5418 Å), based on a DFT-relaxed cell (GGA-PBE, Alexandria).
Peak positions follow from Bragg's law for the DFT cell and can differ from measured ones.

Most intense lines, 10 to 90 degrees two-theta, low angle first:
(2 0 0), 2.751 Å, 32.55°, rel. 25
(0 0 2), 2.509 Å, 35.79°, rel. 25
(2 0 1), 2.412 Å, 37.28°, rel. 100
(2 0 2), 1.854 Å, 49.15°, rel. 15
(2 2 0), 1.588 Å, 58.08°, rel. 17
(2 0 3), 1.429 Å, 65.29°, rel. 18
(2 2 2), 1.342 Å, 70.13°, rel. 18
(4 0 1), 1.326 Å, 71.07°, rel. 13

Structure:
a = 6.3525 Å, b = 6.3525 Å, c = 5.0176 Å
α = 90.00°, β = 90.00°, γ = 120.00°
Space group P-6m2 (No. 187)
Inequivalent atoms, fractional coordinates:
Mg1 0.0000 0.0000 0.0000 x1
Mg2 0.1684 0.3368 0.5000 x3
Mg3 0.5052 0.0105 0.0000 x3
Ti1 0.6667 0.3333 0.5000 x1